[1]
Diffraction record for PuCu6Si2. The powder XRD pattern is computed, not measured: it uses a crystal structure in Alexandria, relaxed with GGA-PBE and Cu Ka.
Peak positions follow from Bragg's law for the DFT cell and can differ from measured ones.

Cell: 3.982 3.982 8.061 Å, 90.00 90.00 90.00°
Space group P4/mmm (No. 123)
Symmetry-distinct sites (fractional):
Pu  0.000  0.000  0.000 x1
Cu  0.000  0.000  0.500 x1
Cu  0.000  0.500  0.307 x4
Cu  0.500  0.500  0.500 x1
Si  0.500  0.500  0.147 x2

Top 10 peaks for 2θ from 10° to 80°, sorted by position:
2θ (°), intensity, index
22.32, 18.9, 1 0 0
24.94, 38.1, 1 0 1
31.58, 33.9, 1 0 2
33.72, 23.5, 1 1 1
39.02, 100.0, 1 1 2
40.50, 23.1, 1 0 3
45.56, 49.3, 2 0 0
56.49, 13.5, 2 1 2
66.40, 15.3, 2 2 0
79.79, 23.2, 3 1 2

***

[2]
Diffraction record for PuCu12Si6. The powder XRD pattern is computed, not measured: it uses a crystal structure in Alexandria, relaxed with GGA-PBE and Cu Ka.
Peak positions follow from Bragg's law for the DFT cell and can differ from measured ones.

Cell: 10.4972 10.4972 8.4594 Å, 90.00 90.00 120.00°
Space group R-3m (No. 166, hexagonal axes)
Symmetry-distinct sites (fractional):
Pu  0.0000  0.0000  0.0000 x3
Cu  0.0000  0.3849  0.5000 x18
Cu  0.0854  0.1709  0.3142 x18
Si  0.0460  0.5230  0.2539 x18

Top 10 peaks for 2θ from 10° to 80°, sorted by position:
2θ (°), intensity, index
28.03, 22.2, 2 1 1
28.83, 19.0, 2 0 2
29.48, 19.5, 3 0 0
36.16, 68.9, 1 1 3
37.21, 100.0, 1 3 1
41.70, 25.3, 3 1 2
47.40, 30.7, 0 2 4
48.68, 21.3, 2 3 2
54.97, 32.8, 5 0 2
66.56, 17.8, 3 1 5

***

[3]
Diffraction record for Pu2Cu3Si5. The powder XRD pattern is computed, not measured: it uses a crystal structure in Alexandria, relaxed with GGA-PBE and Cu Ka.
Peak positions follow from Bragg's law for the DFT cell and can differ from measured ones.

Cell: 11.268 11.531 5.764 Å, 90.00 120.72 90.00°
Space group C2/c (No. 15)
Symmetry-distinct sites (fractional):
Pu  0.237  0.128  0.237 x8
Cu  0.000  0.500  0.250 x4
Cu  0.113  0.135  0.614 x8
Si  0.000  0.000  0.250 x4
Si  0.000  0.269  0.250 x4
Si  0.000  0.270  0.750 x4
Si  0.151  0.388  0.151 x8

Top 10 peaks for 2θ from 10° to 80°, sorted by position:
2θ (°), intensity, index
18.32, 30.4, 2 0 0
23.68, 82.3, 0 2 1
31.03, 51.4, 2 0 -2
35.47, 97.1, 4 2 -1
36.27, 100.0, 0 0 2
44.45, 48.3, 2 4 -2
50.98, 23.9, 2 6 -1
52.28, 27.3, 4 2 1
58.11, 46.3, 6 2 -3
76.47, 22.3, 2 4 -4

***

[4]
Diffraction record for PuCuSi. The powder XRD pattern is computed, not measured: it uses a crystal structure in Alexandria, relaxed with GGA-PBE and Cu Ka.
Peak positions follow from Bragg's law for the DFT cell and can differ from measured ones.

Cell: 3.904 3.904 14.275 Å, 90.00 90.00 90.00°
Space group I4/mmm (No. 139)
Symmetry-distinct sites (fractional):
Pu  0.000  0.000  0.179 x4
Cu  0.000  0.500  0.000 x4
Si  0.000  0.000  0.398 x4

Top 10 peaks for 2θ from 10° to 80°, sorted by position:
2θ (°), intensity, index
23.63, 21.7, 1 0 1
29.60, 100.0, 1 0 3
32.44, 31.1, 1 1 0
34.85, 59.9, 1 1 2
37.81, 18.6, 0 0 6
39.09, 45.7, 1 0 5
46.53, 34.2, 2 0 0
56.12, 35.0, 2 1 3
61.92, 19.2, 1 1 8
62.34, 23.9, 2 1 5

***

[5]
Diffraction record for Pu4CuSi. The powder XRD pattern is computed, not measured: it uses a crystal structure in Alexandria, relaxed with GGA-PBE and Cu Ka.
Peak positions follow from Bragg's law for the DFT cell and can differ from measured ones.

Cell: 9.279 11.678 4.709 Å, 90.00 90.00 90.00°
Space group Cmcm (No. 63)
Symmetry-distinct sites (fractional):
Pu  0.151  0.070  0.250 x8
Pu  0.153  0.327  0.250 x8
Cu  0.000  0.443  0.750 x4
Si  0.000  0.187  0.750 x4

Top 10 peaks for 2θ from 10° to 80°, sorted by position:
2θ (°), intensity, index
22.50, 59.6, 1 1 1
35.57, 87.3, 3 1 1
36.20, 100.0, 0 4 1
37.13, 36.5, 3 3 0
38.23, 46.6, 0 0 2
41.95, 24.9, 3 3 1
54.12, 24.0, 4 4 1
54.35, 24.9, 3 3 2
63.70, 22.6, 0 8 0
71.94, 21.0, 6 4 1

***

[6]
Diffraction record for Pu2CuSi3. The powder XRD pattern is computed, not measured: it uses a crystal structure in Alexandria, relaxed with GGA-PBE and Cu Ka.
Peak positions follow from Bragg's law for the DFT cell and can differ from measured ones.

Cell: 4.029 4.031 6.988 Å, 90.00 90.00 90.00°
Space group Pmm2 (No. 25)
Symmetry-distinct sites (fractional):
Pu  0.000  0.000  0.000 x1
Pu  0.000  0.500  0.487 x1
Cu  0.500  0.500  0.823 x1
Si  0.500  0.000  0.329 x1
Si  0.500  0.000  0.666 x1
Si  0.500  0.500  0.154 x1

Top 10 peaks for 2θ from 10° to 80°, sorted by position:
2θ (°), intensity, index
22.06, 15.2, 1 0 0
25.50, 52.5, 0 1 1
33.97, 100.0, 1 0 2
44.96, 39.8, 2 0 0
50.62, 11.2, 1 2 0
52.42, 23.6, 2 1 1
57.52, 22.6, 1 2 2
65.49, 19.6, 2 2 0
71.48, 12.7, 0 3 1
75.86, 30.1, 3 0 2

***

[7]
Diffraction record for TbPuCu2Si2. The powder XRD pattern is computed, not measured: it uses a crystal structure in Alexandria, relaxed with GGA-PBE and Cu Ka.
Peak positions follow from Bragg's law for the DFT cell and can differ from measured ones.

Cell: 4.1396 4.1396 7.6499 Å, 90.00 90.00 120.00°
Space group P-3m1 (No. 164)
Symmetry-distinct sites (fractional):
Tb  0.0000  0.0000  0.0000 x1
Pu  0.0000  0.0000  0.5000 x1
Cu  0.3333  0.6667  0.2452 x2
Si  0.3333  0.6667  0.7480 x2

Top 10 peaks for 2θ from 10° to 80°, sorted by position:
2θ (°), intensity, index
24.84, 39.9, 1 0 0
27.48, 8.0, 1 0 1
34.28, 100.0, 0 1 2
43.74, 36.6, 1 1 0
47.54, 9.5, 0 0 4
54.37, 10.2, 1 0 4
56.71, 23.7, 2 0 2
66.57, 20.7, 1 1 4
74.26, 21.4, 1 2 2
79.84, 8.8, 0 1 6

***

[8]
Diffraction record for Pu2ThCu2Si2. The powder XRD pattern is computed, not measured: it uses a crystal structure in Alexandria, relaxed with GGA-PBE and Cu Ka.
Peak positions follow from Bragg's law for the DFT cell and can differ from measured ones.

Cell: 3.9723 3.9723 27.3849 Å, 90.00 90.00 120.00°
Space group R-3m (No. 166, hexagonal axes)
Symmetry-distinct sites (fractional):
Pu  0.0000  0.0000  0.1504 x6
Th  0.0000  0.0000  0.0000 x3
Cu  0.0000  0.0000  0.4102 x6
Si  0.0000  0.0000  0.2549 x6

Top 10 peaks for 2θ from 10° to 80°, sorted by position:
2θ (°), intensity, index
19.45, 37.9, 0 0 6
26.11, 48.6, 1 0 1
30.69, 28.6, 0 1 5
34.73, 100.0, 1 0 7
37.05, 21.1, 0 1 8
45.68, 61.5, 1 1 0
50.09, 21.6, 1 1 6
50.82, 19.9, 1 0 13
58.63, 22.6, 0 2 7
77.34, 20.4, 2 1 7